Structure and computed powder XRD pattern of Tb2TmUO8 (a DFT-relaxed cell (PBE, Alexandria); Cu Kα (weighted mean of Kα1 and Kα2)).
No peak broadening, texture or thermal motion is included.

Crystal structure
a = 3.847 Å, b = 5.335 Å, c = 7.518 Å
α = 90.00°, β = 90.00°, γ = 90.00°
Atoms (fractional coordinates):
Tb 0.000 0.000 0.248
Tb 0.000 0.000 0.752
Tm 0.500 0.500 0.000
U 0.500 0.500 0.500
O 0.000 0.255 0.000
O 0.000 0.268 0.500
O 0.000 0.732 0.500
O 0.000 0.745 0.000
O 0.500 0.261 0.269
O 0.500 0.261 0.731
O 0.500 0.739 0.269
O 0.500 0.739 0.731

Top 8 peaks for 10° ≤ 2θ ≤ 80°, low angle first:
- hkl 1 1 0, 2θ = 28.61°, d = 3.120 Å, rel. 100
- hkl 0 1 2, 2θ = 29.06°, d = 3.073 Å, rel. 96
- hkl 1 0 2, 2θ = 33.33°, d = 2.689 Å, rel. 44
- hkl 0 2 0, 2θ = 33.60°, d = 2.667 Å, rel. 22
- hkl 2 0 0, 2θ = 47.26°, d = 1.923 Å, rel. 18
- hkl 1 2 2, 2θ = 48.05°, d = 1.894 Å, rel. 66
- hkl 2 1 2, 2θ = 56.44°, d = 1.630 Å, rel. 31
- hkl 1 1 4, 2θ = 57.25°, d = 1.609 Å, rel. 44